This entry pairs a crystal structure of CdPb8 with its simulated powder XRD pattern. Radiation: Cu Ka. Structure: a GGA-PBE-relaxed structure.
No peak broadening, texture or thermal motion is included.

Atomic structure:
abc: 10.697 10.697 4.829
angles: 90.00 90.00 90.00
Space group I4/mmm (No. 139)
Unique sites:
1 Cd 0.000 0.000 0.000 [2 per cell]
2 Pb 0.000 0.331 0.000 [8 per cell]
3 Pb 0.163 0.163 0.500 [8 per cell]

Main lines, in order of rising 2θ (2θ from 15° to 90°):
(3 0 1), 31.2 deg, I = 100; (3 3 0), 35.6 deg, I = 36; (0 0 2), 37.2 deg, I = 16; (3 3 2), 52.5 deg, I = 24; (6 3 1), 61.2 deg, I = 30; (3 0 3), 63.4 deg, I = 14